Structure and computed X-ray diffraction stick pattern of Mg14ZrSi (a PBE-relaxed structure; Cu Kα, 1.54184 Å).
Neutral-atom scattering factors, no anomalous dispersion.

Main lines, low angle first (2θ from 10° to 90°):
2θ = 18.66°, I 14
2θ = 33.43°, I 32
2θ = 34.86°, I 44
2θ = 36.86°, I 62
2θ = 37.84°, I 100
2θ = 49.07°, I 19
2θ = 58.36°, I 18
2θ = 64.48°, I 19
2θ = 69.81°, I 20
2θ = 72.93°, I 16

abc: 10.2939 6.3292 6.3292
angles: 57.89 90.00 90.00
Fractional positions:
Mg (0.0000, 0.0000, 0.0000)
Mg (0.0000, 0.0011, 0.4972)
Mg (0.0000, 0.4972, 0.0011)
Mg (0.0000, 0.4981, 0.4981)
Mg (0.2482, 0.6603, 0.6603)
Mg (0.2547, 0.1645, 0.6614)
Mg (0.2547, 0.6614, 0.1645)
Mg (0.2629, 0.1572, 0.1572)
Mg (0.5000, 0.5082, 0.9982)
Mg (0.5000, 0.9982, 0.5082)
Mg (0.7371, 0.1572, 0.1572)
Mg (0.7453, 0.1645, 0.6614)
Mg (0.7453, 0.6614, 0.1645)
Mg (0.7518, 0.6603, 0.6603)
Zr (0.5000, 0.5037, 0.5037)
Si (0.5000, 0.9975, 0.9975)

=====

Structure and computed X-ray diffraction stick pattern of Sm4Mg (a PBE-relaxed structure; Cu Kα, 1.54184 Å).
Neutral-atom scattering factors, no anomalous dispersion.

Main lines, low angle first (2θ from 10° to 90°):
2θ = 26.85°, I 13
2θ = 30.83°, I 100
2θ = 34.72°, I 38
2θ = 37.75°, I 13
2θ = 49.91°, I 14
2θ = 52.21°, I 20
2θ = 59.82°, I 30
2θ = 63.89°, I 9
2θ = 64.23°, I 11
2θ = 85.17°, I 8

abc: 12.1935 12.1935 12.1935
angles: 162.76 162.76 24.47
Fractional positions:
Sm (0.0913, 0.0913, 0.0000)
Sm (0.3040, 0.3040, 0.0000)
Sm (0.6960, 0.6960, 0.0000)
Sm (0.9087, 0.9087, 0.0000)
Mg (0.5000, 0.5000, 0.0000)

=====

Structure and computed X-ray diffraction stick pattern of Sm5Mg6 (a PBE-relaxed structure; Cu Kα, 1.54184 Å).
Neutral-atom scattering factors, no anomalous dispersion.

Main lines, low angle first (2θ from 10° to 90°):
2θ = 11.11°, I 16
2θ = 12.95°, I 20
2θ = 23.50°, I 88
2θ = 30.29°, I 30
2θ = 33.18°, I 30
2θ = 33.48°, I 100
2θ = 33.77°, I 18
2θ = 48.08°, I 22
2θ = 54.14°, I 18
2θ = 59.48°, I 19

abc: 9.2206 9.2206 9.2206
angles: 145.95 131.53 60.55
Fractional positions:
Sm (0.0000, 0.0000, 0.0000)
Sm (0.1629, 0.6629, 0.5000)
Sm (0.3067, 0.3067, 0.0000)
Sm (0.6933, 0.6933, 0.0000)
Sm (0.8371, 0.3371, 0.5000)
Mg (0.1463, 0.8554, 0.2909)
Mg (0.2875, 0.5000, 0.7875)
Mg (0.4354, 0.1446, 0.2909)
Mg (0.5646, 0.8554, 0.7091)
Mg (0.7125, 0.5000, 0.2125)
Mg (0.8537, 0.1446, 0.7091)

=====

Structure and computed X-ray diffraction stick pattern of SmMg6 (a PBE-relaxed structure; Cu Kα, 1.54184 Å).
Neutral-atom scattering factors, no anomalous dispersion.

Main lines, low angle first (2θ from 10° to 90°):
2θ = 17.23°, I 24
2θ = 18.52°, I 16
2θ = 19.03°, I 58
2θ = 26.57°, I 23
2θ = 30.10°, I 18
2θ = 30.76°, I 32
2θ = 32.63°, I 100
2θ = 35.57°, I 19
2θ = 43.58°, I 16
2θ = 55.08°, I 21

abc: 9.5829 5.9374 12.2008
angles: 90.00 90.00 90.00
Fractional positions:
Sm (0.2457, 0.2500, 0.0629)
Sm (0.2543, 0.7500, 0.5629)
Sm (0.7457, 0.2500, 0.4371)
Sm (0.7543, 0.7500, 0.9371)
Mg (0.0540, 0.7500, 0.0845)
Mg (0.0624, 0.0102, 0.3067)
Mg (0.0624, 0.4898, 0.3067)
Mg (0.0931, 0.2500, 0.5182)
Mg (0.1440, 0.7500, 0.8504)
Mg (0.1934, 0.2500, 0.7514)
Mg (0.3066, 0.7500, 0.2514)
Mg (0.3560, 0.2500, 0.3504)
Mg (0.4069, 0.7500, 0.0182)
Mg (0.4376, 0.5102, 0.8067)
Mg (0.4376, 0.9898, 0.8067)
Mg (0.4460, 0.2500, 0.5845)
Mg (0.5540, 0.7500, 0.4155)
Mg (0.5624, 0.0102, 0.1933)
Mg (0.5624, 0.4898, 0.1933)
Mg (0.5931, 0.2500, 0.9818)
Mg (0.6440, 0.7500, 0.6496)
Mg (0.6934, 0.2500, 0.7486)
Mg (0.8066, 0.7500, 0.2486)
Mg (0.8560, 0.2500, 0.1496)
Mg (0.9069, 0.7500, 0.4818)
Mg (0.9376, 0.5102, 0.6933)
Mg (0.9376, 0.9898, 0.6933)
Mg (0.9460, 0.2500, 0.9155)